Record 1
Starting from a DFT-relaxed cell (PBE, Alexandria), the powder XRD pattern of Si5Te was simulated for copper Kα.

Most intense lines, 5 to 70 degrees two-theta, by intensity:
2θ = 27.7°, rel. 100.0; 2θ = 37.4°, rel. 38.5; 2θ = 32.1°, rel. 35.1; 2θ = 49.0°, rel. 34.2; 2θ = 38.2°, rel. 26.0; 2θ = 20.1°, rel. 25.3; 2θ = 30.4°, rel. 21.8; 2θ = 36.0°, rel. 20.5; 2θ = 64.7°, rel. 19.8; 2θ = 18.8°, rel. 19.4

Cell and atoms:
a = 6.070 Å, b = 6.070 Å, c = 4.712 Å
α = 90.00°, β = 90.00°, γ = 133.35°
Sites, in units of the cell vectors:
Si: 0.000 0.000 0.000
Si: 0.212 0.788 0.000
Si: 0.256 0.744 0.500
Si: 0.744 0.256 0.500
Si: 0.788 0.212 0.000
Te: 0.500 0.500 0.500

---

Record 2
Starting from a DFT-relaxed cell (PBE, Alexandria), the powder XRD pattern of Si4Te was simulated for copper Kα.

Most intense lines, 5 to 70 degrees two-theta, by intensity:
2θ = 34.3°, rel. 100.0; 2θ = 35.5°, rel. 81.6; 2θ = 22.0°, rel. 67.3; 2θ = 40.2°, rel. 57.6; 2θ = 54.7°, rel. 46.1; 2θ = 69.3°, rel. 44.9; 2θ = 28.1°, rel. 41.3; 2θ = 54.0°, rel. 21.1; 2θ = 46.3°, rel. 19.9; 2θ = 58.1°, rel. 19.1

Cell and atoms:
a = 5.580 Å, b = 5.580 Å, c = 5.580 Å
α = 132.56°, β = 132.56°, γ = 69.35°
Sites, in units of the cell vectors:
Si: 0.130 0.130 0.000
Si: 0.250 0.750 0.500
Si: 0.750 0.250 0.500
Si: 0.870 0.870 0.000
Te: 0.500 0.500 0.000

---

Record 3
Starting from a DFT-relaxed cell (PBE, Alexandria), the powder XRD pattern of Si19Te8 was simulated for copper Kα.

Most intense lines, 5 to 70 degrees two-theta, by intensity:
2θ = 31.8°, rel. 100.0; 2θ = 31.6°, rel. 47.7; 2θ = 20.7°, rel. 43.5; 2θ = 31.8°, rel. 42.9; 2θ = 29.4°, rel. 38.3; 2θ = 53.7°, rel. 37.7; 2θ = 36.2°, rel. 30.7; 2θ = 36.0°, rel. 28.5; 2θ = 53.5°, rel. 25.6; 2θ = 36.2°, rel. 21.9

Cell and atoms:
a = 10.553 Å, b = 10.553 Å, c = 10.553 Å
α = 89.61°, β = 89.61°, γ = 89.61°
Sites, in units of the cell vectors:
Si: 0.000 0.000 0.000
Si: 0.032 0.461 0.146
Si: 0.062 0.793 0.069
Si: 0.069 0.062 0.793
Si: 0.123 0.257 0.462
Si: 0.134 0.902 0.646
Si: 0.146 0.032 0.461
Si: 0.146 0.402 0.634
Si: 0.176 0.260 0.809
Si: 0.257 0.462 0.123
Si: 0.260 0.809 0.176
Si: 0.293 0.562 0.569
Si: 0.308 0.973 0.318
Si: 0.309 0.760 0.676
Si: 0.318 0.308 0.973
Si: 0.402 0.634 0.146
Si: 0.461 0.146 0.032
Si: 0.462 0.123 0.257
Si: 0.473 0.808 0.818
Si: 0.500 0.500 0.500
Si: 0.532 0.646 0.961
Si: 0.562 0.569 0.293
Si: 0.569 0.293 0.562
Si: 0.623 0.962 0.757
Si: 0.634 0.146 0.402
Si: 0.646 0.134 0.902
Si: 0.646 0.961 0.532
Si: 0.676 0.309 0.760
Si: 0.757 0.623 0.962
Si: 0.760 0.676 0.309
Si: 0.793 0.069 0.062
Si: 0.808 0.818 0.473
Si: 0.809 0.176 0.260
Si: 0.818 0.473 0.808
Si: 0.902 0.646 0.134
Si: 0.961 0.532 0.646
Si: 0.962 0.757 0.623
Si: 0.973 0.318 0.308
Te: 0.143 0.143 0.143
Te: 0.148 0.652 0.389
Te: 0.152 0.648 0.889
Te: 0.326 0.952 0.961
Te: 0.331 0.331 0.331
Te: 0.389 0.148 0.652
Te: 0.452 0.826 0.461
Te: 0.461 0.452 0.826
Te: 0.643 0.643 0.643
Te: 0.648 0.889 0.152
Te: 0.652 0.389 0.148
Te: 0.826 0.461 0.452
Te: 0.831 0.831 0.831
Te: 0.889 0.152 0.648
Te: 0.952 0.961 0.326
Te: 0.961 0.326 0.952

---

Record 4
Starting from a DFT-relaxed cell (PBE, Alexandria), the powder XRD pattern of Si23Te3 was simulated for copper Kα.

Most intense lines, 5 to 70 degrees two-theta, by intensity:
2θ = 32.8°, rel. 100.0; 2θ = 31.6°, rel. 96.9; 2θ = 30.4°, rel. 95.1; 2θ = 52.3°, rel. 58.4; 2θ = 19.5°, rel. 53.2; 2θ = 55.5°, rel. 41.9; 2θ = 12.3°, rel. 39.7; 2θ = 35.2°, rel. 31.0; 2θ = 48.0°, rel. 27.0; 2θ = 27.7°, rel. 26.2

Cell and atoms:
a = 10.201 Å, b = 10.201 Å, c = 10.201 Å
α = 90.00°, β = 90.00°, γ = 90.00°
Sites, in units of the cell vectors:
Si: 0.000 0.116 0.310
Si: 0.000 0.116 0.690
Si: 0.000 0.250 0.500
Si: 0.000 0.750 0.500
Si: 0.000 0.884 0.310
Si: 0.000 0.884 0.690
Si: 0.116 0.310 0.000
Si: 0.116 0.690 0.000
Si: 0.184 0.184 0.184
Si: 0.184 0.184 0.816
Si: 0.184 0.816 0.184
Si: 0.184 0.816 0.816
Si: 0.190 0.384 0.500
Si: 0.190 0.616 0.500
Si: 0.250 0.500 0.000
Si: 0.310 0.000 0.116
Si: 0.310 0.000 0.884
Si: 0.316 0.316 0.316
Si: 0.316 0.316 0.684
Si: 0.316 0.684 0.316
Si: 0.316 0.684 0.684
Si: 0.384 0.500 0.190
Si: 0.384 0.500 0.810
Si: 0.500 0.000 0.250
Si: 0.500 0.000 0.750
Si: 0.500 0.190 0.384
Si: 0.500 0.190 0.616
Si: 0.500 0.810 0.384
Si: 0.500 0.810 0.616
Si: 0.616 0.500 0.190
Si: 0.616 0.500 0.810
Si: 0.684 0.316 0.316
Si: 0.684 0.316 0.684
Si: 0.684 0.684 0.316
Si: 0.684 0.684 0.684
Si: 0.690 0.000 0.116
Si: 0.690 0.000 0.884
Si: 0.750 0.500 0.000
Si: 0.810 0.384 0.500
Si: 0.810 0.616 0.500
Si: 0.816 0.184 0.184
Si: 0.816 0.184 0.816
Si: 0.816 0.816 0.184
Si: 0.816 0.816 0.816
Si: 0.884 0.310 0.000
Si: 0.884 0.690 0.000
Te: 0.000 0.500 0.250
Te: 0.000 0.500 0.750
Te: 0.250 0.000 0.500
Te: 0.500 0.250 0.000
Te: 0.500 0.750 0.000
Te: 0.750 0.000 0.500

---

Record 5
Starting from a DFT-relaxed cell (PBE, Alexandria), the powder XRD pattern of Si5Te7 was simulated for copper Kα.

Most intense lines, 5 to 70 degrees two-theta, by intensity:
2θ = 15.3°, rel. 100.0; 2θ = 22.0°, rel. 94.2; 2θ = 30.9°, rel. 82.4; 2θ = 15.7°, rel. 75.2; 2θ = 35.5°, rel. 64.7; 2θ = 44.3°, rel. 46.2; 2θ = 31.1°, rel. 44.6; 2θ = 29.8°, rel. 38.6; 2θ = 42.0°, rel. 36.4; 2θ = 26.9°, rel. 35.6

Cell and atoms:
a = 8.792 Å, b = 8.792 Å, c = 8.792 Å
α = 97.71°, β = 97.71°, γ = 137.03°
Sites, in units of the cell vectors:
Si: 0.000 0.000 0.000
Si: 0.243 0.243 0.290
Si: 0.243 0.953 0.000
Si: 0.953 0.243 0.000
Si: 0.953 0.953 0.710
Te: 0.122 0.367 0.755
Te: 0.261 0.761 0.500
Te: 0.367 0.122 0.755
Te: 0.367 0.612 0.245
Te: 0.605 0.605 0.000
Te: 0.612 0.367 0.245
Te: 0.761 0.261 0.500

---

Record 6
Starting from a DFT-relaxed cell (PBE, Alexandria), the powder XRD pattern of Si5Te3 was simulated for copper Kα.

Most intense lines, 5 to 70 degrees two-theta, by intensity:
2θ = 20.8°, rel. 100.0; 2θ = 19.1°, rel. 83.5; 2θ = 17.1°, rel. 60.4; 2θ = 29.7°, rel. 54.1; 2θ = 35.7°, rel. 45.1; 2θ = 36.8°, rel. 43.9; 2θ = 34.2°, rel. 29.8; 2θ = 52.9°, rel. 28.2; 2θ = 33.1°, rel. 20.7; 2θ = 51.1°, rel. 18.7

Cell and atoms:
a = 10.743 Å, b = 10.743 Å, c = 10.740 Å
α = 93.91°, β = 93.91°, γ = 149.70°
Sites, in units of the cell vectors:
Si: 0.000 0.000 0.000
Si: 0.106 0.240 0.846
Si: 0.240 0.106 0.846
Si: 0.260 0.394 0.153
Si: 0.394 0.260 0.153
Si: 0.500 0.500 0.000
Si: 0.607 0.760 0.866
Si: 0.740 0.893 0.134
Si: 0.760 0.607 0.866
Si: 0.893 0.740 0.134
Te: 0.005 0.504 0.513
Te: 0.071 0.071 0.641
Te: 0.430 0.430 0.359
Te: 0.504 0.005 0.513
Te: 0.570 0.929 0.000
Te: 0.929 0.570 0.000

---

Record 7
Starting from a DFT-relaxed cell (PBE, Alexandria), the powder XRD pattern of SiTe7 was simulated for copper Kα.

Most intense lines, 5 to 70 degrees two-theta, by intensity:
2θ = 32.5°, rel. 100.0; 2θ = 37.7°, rel. 49.9; 2θ = 64.8°, rel. 40.1; 2θ = 54.4°, rel. 34.3; 2θ = 68.0°, rel. 11.5; 2θ = 16.1°, rel. 6.0; 2θ = 31.1°, rel. 3.8; 2θ = 18.6°, rel. 3.3; 2θ = 26.4°, rel. 2.9; 2θ = 41.2°, rel. 1.8

Cell and atoms:
a = 6.750 Å, b = 6.750 Å, c = 6.750 Å
α = 60.00°, β = 60.00°, γ = 60.00°
Sites, in units of the cell vectors:
Si: 0.000 0.000 0.000
Te: 0.000 0.000 0.500
Te: 0.000 0.500 0.000
Te: 0.000 0.500 0.500
Te: 0.500 0.000 0.000
Te: 0.500 0.000 0.500
Te: 0.500 0.500 0.000
Te: 0.500 0.500 0.500

---

Record 8
Starting from a DFT-relaxed cell (PBE, Alexandria), the powder XRD pattern of Si5Te3 was simulated for copper Kα.

Most intense lines, 5 to 70 degrees two-theta, by intensity:
2θ = 25.7°, rel. 100.0; 2θ = 35.3°, rel. 73.8; 2θ = 35.6°, rel. 69.9; 2θ = 47.8°, rel. 38.9; 2θ = 30.9°, rel. 33.6; 2θ = 63.7°, rel. 26.0; 2θ = 51.2°, rel. 24.2; 2θ = 58.1°, rel. 20.5; 2θ = 27.9°, rel. 19.0; 2θ = 61.0°, rel. 18.6

Cell and atoms:
a = 3.571 Å, b = 3.571 Å, c = 14.485 Å
α = 90.00°, β = 90.00°, γ = 90.00°
Sites, in units of the cell vectors:
Si: 0.000 0.000 0.000
Si: 0.000 0.000 0.315
Si: 0.000 0.000 0.685
Si: 0.500 0.500 0.297
Si: 0.500 0.500 0.703
Te: 0.000 0.000 0.500
Te: 0.500 0.500 0.117
Te: 0.500 0.500 0.883